[1]
Theoretical powder X-ray diffraction pattern of La2TaMo2N6 for Cu Ka, from a structure optimized by DFT (GGA-PBE).
Intensities are scaled so that the largest is 1000.

Crystal structure
Cell lengths 6.0564, 6.0564, 16.6376 Å; angles 90.00, 90.00, 120.00 degrees
Space group R-3m (No. 166, hexagonal axes)
Inequivalent atoms, fractional coordinates:
La  0.0000  0.0000  0.1964 [6 per cell]
Ta  0.0000  0.0000  0.0000 [3 per cell]
Mo  0.0000  0.0000  0.4292 [6 per cell]
N  0.0262  0.5131  0.7461 [18 per cell]

Main lines, most intense first (2θ from 10° to 90°):
(hkl), 2θ (°), intensity
1 1 0, 29.50, 1000
0 1 5, 31.85, 673
1 2 5, 53.83, 328
2 0 5, 43.96, 273
3 0 0, 52.33, 201
2 2 0, 61.22, 159
3 1 5, 70.67, 134
4 1 0, 84.68, 105
0 1 2, 20.01, 97
1 0 4, 27.37, 89


[2]
Theoretical powder X-ray diffraction pattern of La2TaMoN5 for Cu Ka, from a structure optimized by DFT (GGA-PBE).
Intensities are scaled so that the largest is 1000.

Crystal structure
Cell lengths 3.403, 10.815, 6.997 Å; angles 90.00, 103.68, 90.00 degrees
Space group P2_1 (No. 4)
Inequivalent atoms, fractional coordinates:
La  0.100  0.000  0.216 [2 per cell]
La  0.130  0.387  0.291 [2 per cell]
Ta  0.264  0.673  0.435 [2 per cell]
Mo  0.459  0.226  0.940 [2 per cell]
N  0.059  0.641  0.100 [2 per cell]
N  0.294  0.041  0.563 [2 per cell]
N  0.313  0.296  0.634 [2 per cell]
N  0.388  0.687  0.727 [2 per cell]
N  0.494  0.894  0.985 [2 per cell]

Main lines, most intense first (2θ from 10° to 90°):
(hkl), 2θ (°), intensity
1 3 -1, 36.92, 1000
0 3 1, 28.02, 811
0 2 2, 31.08, 762
1 2 0, 31.74, 554
1 0 -2, 33.03, 433
0 1 3, 40.68, 403
1 1 1, 33.86, 366
2 0 -1, 53.90, 238
1 0 1, 32.80, 227
0 1 2, 27.50, 204


[3]
Theoretical powder X-ray diffraction pattern of La2TmMo2N6 for Cu Ka, from a structure optimized by DFT (GGA-PBE).
Intensities are scaled so that the largest is 1000.

Crystal structure
Cell lengths 5.8148, 5.8148, 18.2427 Å; angles 90.00, 90.00, 120.00 degrees
Space group R-3m (No. 166, hexagonal axes)
Inequivalent atoms, fractional coordinates:
La  0.0000  0.0000  0.2020 [6 per cell]
Tm  0.0000  0.0000  0.0000 [3 per cell]
Mo  0.0000  0.0000  0.3972 [6 per cell]
N  0.0111  0.5056  0.7614 [18 per cell]

Main lines, most intense first (2θ from 10° to 90°):
(hkl), 2θ (°), intensity
0 1 5, 30.25, 1000
1 1 0, 30.75, 918
2 0 5, 43.68, 410
1 2 5, 54.37, 398
1 0 10, 53.42, 218
3 0 0, 54.68, 182
2 1 10, 71.66, 176
3 1 5, 72.46, 162
2 2 0, 64.05, 144
1 1 15, 86.80, 109


[4]
Theoretical powder X-ray diffraction pattern of NaLaTl2Mo for Cu Ka, from a structure optimized by DFT (GGA-PBE).
Intensities are scaled so that the largest is 1000.

Crystal structure
Cell lengths 5.574, 5.574, 5.132 Å; angles 90.00, 90.00, 90.00 degrees
Space group P4/mmm (No. 123)
Inequivalent atoms, fractional coordinates:
Na  0.000  0.000  0.000 [1 per cell]
La  0.500  0.500  0.000 [1 per cell]
Tl  0.000  0.500  0.500 [2 per cell]
Mo  0.500  0.500  0.500 [1 per cell]

Main lines, most intense first (2θ from 10° to 90°):
(hkl), 2θ (°), intensity
1 1 1, 28.55, 1000
2 0 0, 32.11, 754
2 0 2, 48.20, 487
0 0 1, 17.28, 435
1 0 0, 15.90, 431
3 1 1, 55.09, 330
0 0 2, 34.97, 301
2 2 0, 46.05, 278
2 0 1, 36.69, 275
2 2 2, 59.10, 265